1.
# Pu6MgGe5
Theoretical powder diffractogram, λ = 1.5418 Å (Cu Kα). Input: a cell relaxed with GGA-PBE.
Lines closer than 0.1° are merged.

Cell and atoms:
```
Pu6MgGe5
1.0
4.6058 0.0000 0.0000
0.0000 8.2944 0.0000
-1.8447 0.0000 7.0219
Pu Mg Ge
6 1 5
direct
0.0000 0.2285 0.0000
0.0000 0.7715 0.0000
0.3237 0.2524 0.6489
0.3237 0.7476 0.6489
0.6763 0.2524 0.3511
0.6763 0.7476 0.3511
0.5000 0.5000 0.0000
0.1505 0.5000 0.2909
0.1676 0.0000 0.3404
0.5000 0.0000 0.0000
0.8324 0.0000 0.6596
0.8495 0.5000 0.7091
```

Main lines, sorted by position (2θ = 5–70°):
21.4°, rel. 48; 26.3°, rel. 31; 34.1°, rel. 100; 35.6°, rel. 89; 38.5°, rel. 34; 39.2°, rel. 36



2.
# Pu2MgGe2Rh5
Theoretical powder diffractogram, λ = 1.5418 Å (Cu Kα). Input: a cell relaxed with GGA-PBE.
Lines closer than 0.1° are merged.

Cell and atoms:
```
Pu2MgGe2Rh5
1.0
9.8672 0.0000 0.0000
0.0000 9.8672 0.0000
0.0000 0.0000 3.6039
Pu Mg Ge Rh
4 2 4 10
direct
0.1743 0.3257 0.0000
0.3257 0.8257 0.0000
0.6743 0.1743 0.0000
0.8257 0.6743 0.0000
0.0000 0.0000 0.0000
0.5000 0.5000 0.0000
0.1249 0.6249 0.0000
0.3751 0.1249 0.0000
0.6249 0.8751 0.0000
0.8751 0.3751 0.0000
0.0000 0.5000 0.5000
0.0675 0.7899 0.5000
0.2101 0.0675 0.5000
0.2899 0.5675 0.5000
0.4325 0.2899 0.5000
0.5000 0.0000 0.5000
0.5675 0.7101 0.5000
0.7101 0.4325 0.5000
0.7899 0.9325 0.5000
0.9325 0.2101 0.5000
```

Main lines, sorted by position (2θ = 5–70°):
32.1°, rel. 66; 37.6°, rel. 82; 38.1°, rel. 100; 38.7°, rel. 41; 41.4°, rel. 39; 64.8°, rel. 34



3.
# PuMg2ZnGe2
Theoretical powder diffractogram, λ = 1.5418 Å (Cu Kα). Input: a cell relaxed with GGA-PBE.
Lines closer than 0.1° are merged.

Cell and atoms:
```
PuMg2ZnGe2
1.0
4.2738 0.0000 0.0000
0.0000 8.2271 0.0000
0.0000 0.0000 6.9889
Pu Mg Zn Ge
2 4 2 4
direct
0.0000 0.0541 0.0000
0.0000 0.9459 0.5000
0.0000 0.3323 0.3701
0.0000 0.6677 0.8701
0.5000 0.4106 0.0379
0.5000 0.5894 0.5379
0.5000 0.1948 0.6642
0.5000 0.8052 0.1642
0.0000 0.3527 0.7631
0.0000 0.6473 0.2631
0.5000 0.1341 0.2818
0.5000 0.8659 0.7818
```

Main lines, sorted by position (2θ = 5–70°):
10.8°, rel. 100; 32.8°, rel. 33; 33.1°, rel. 21; 34.9°, rel. 69; 39.0°, rel. 25; 42.3°, rel. 22



4.
# RbMgGe
Theoretical powder diffractogram, λ = 1.5418 Å (Cu Kα). Input: a cell relaxed with GGA-PBE.
Lines closer than 0.1° are merged.

Cell and atoms:
```
RbMgGe
1.0
4.9462 0.0000 0.0000
-0.9169 4.8608 0.0000
-0.4526 -0.5124 7.9742
Rb Mg Ge
2 2 2
direct
0.2376 0.2390 0.3622
0.7624 0.7610 0.6378
0.2052 0.7954 0.0003
0.7948 0.2046 0.9997
0.3182 0.3193 0.8572
0.6818 0.6807 0.1428
```

Main lines, sorted by position (2θ = 5–70°):
23.4°, rel. 67; 28.0°, rel. 84; 28.4°, rel. 25; 29.9°, rel. 100; 37.1°, rel. 50; 44.0°, rel. 34



5.
# RbMgGeSe3
Theoretical powder diffractogram, λ = 1.5418 Å (Cu Kα). Input: a cell relaxed with GGA-PBE.
Lines closer than 0.1° are merged.

Cell and atoms:
```
RbMgGeSe3
1.0
8.2173 0.0000 0.0000
0.0000 4.5199 0.0000
-2.0557 0.0000 9.9638
Rb Mg Ge Se
2 2 2 6
direct
0.1725 0.2500 0.2870
0.8275 0.7500 0.7130
0.3556 0.7500 0.9013
0.6444 0.2500 0.0987
0.2729 0.2500 0.6911
0.7271 0.7500 0.3089
0.1382 0.2500 0.8827
0.2388 0.7500 0.5874
0.4413 0.7500 0.1654
0.5587 0.2500 0.8346
0.7612 0.2500 0.4126
0.8618 0.7500 0.1173
```

Main lines, sorted by position (2θ = 5–70°):
22.1°, rel. 62; 26.6°, rel. 65; 29.7°, rel. 100; 31.3°, rel. 63; 39.9°, rel. 59; 46.1°, rel. 62



6.
# MgGe2Rh2
Theoretical powder diffractogram, λ = 1.5418 Å (Cu Kα). Input: a cell relaxed with GGA-PBE.
Lines closer than 0.1° are merged.

Cell and atoms:
```
MgGe2Rh2
1.0
4.7325 0.0000 0.0000
0.0000 4.3698 0.0000
-1.8547 0.0000 7.9927
Mg Ge Rh
2 4 4
direct
0.1765 0.2500 0.2671
0.8235 0.7500 0.7329
0.2837 0.2500 0.6364
0.3461 0.7500 0.0291
0.6539 0.2500 0.9709
0.7163 0.7500 0.3636
0.1207 0.2500 0.9020
0.2629 0.7500 0.4738
0.7371 0.2500 0.5262
0.8793 0.7500 0.0980
```

Main lines, sorted by position (2θ = 5–70°):
22.2°, rel. 99; 23.2°, rel. 94; 38.9°, rel. 94; 39.6°, rel. 98; 40.5°, rel. 44; 41.3°, rel. 100



7.
# Mg2GeRh5
Theoretical powder diffractogram, λ = 1.5418 Å (Cu Kα). Input: a cell relaxed with GGA-PBE.
Lines closer than 0.1° are merged.

Cell and atoms:
```
Mg2GeRh5
1.0
5.3509 0.0000 0.0000
0.0000 10.3351 0.0000
0.0000 0.0000 4.2059
Mg Ge Rh
4 2 10
direct
0.1498 0.1357 0.0000
0.3502 0.6357 0.0000
0.6498 0.3643 0.0000
0.8502 0.8643 0.0000
0.0000 0.5000 0.5000
0.5000 0.0000 0.5000
0.0000 0.0000 0.5000
0.1173 0.7377 0.5000
0.1636 0.3902 0.0000
0.3364 0.8902 0.0000
0.3827 0.2377 0.5000
0.5000 0.5000 0.5000
0.6173 0.7623 0.5000
0.6636 0.1098 0.0000
0.8364 0.6098 0.0000
0.8827 0.2623 0.5000
```

Main lines, sorted by position (2θ = 5–70°):
32.1°, rel. 15; 39.9°, rel. 16; 41.0°, rel. 100; 42.8°, rel. 21; 43.0°, rel. 28; 62.3°, rel. 13



8.
# MgGe2Rh2
Theoretical powder diffractogram, λ = 1.5418 Å (Cu Kα). Input: a cell relaxed with GGA-PBE.
Lines closer than 0.1° are merged.

Cell and atoms:
```
MgGe2Rh2
1.0
7.1816 0.0000 0.0000
0.0000 7.1816 0.0000
0.0000 0.0000 3.0667
Mg Ge Rh
2 4 4
direct
0.0000 0.0000 0.0000
0.5000 0.5000 0.0000
0.1520 0.3480 0.5000
0.3480 0.8480 0.5000
0.6520 0.1520 0.5000
0.8480 0.6520 0.5000
0.1449 0.6449 0.0000
0.3551 0.1449 0.0000
0.6449 0.8551 0.0000
0.8551 0.3551 0.0000
```

Main lines, sorted by position (2θ = 5–70°):
17.5°, rel. 30; 39.7°, rel. 36; 40.7°, rel. 100; 50.9°, rel. 13; 54.2°, rel. 12; 61.2°, rel. 9



9.
# MgSc2Ge2Rh5
Theoretical powder diffractogram, λ = 1.5418 Å (Cu Kα). Input: a cell relaxed with GGA-PBE.
Lines closer than 0.1° are merged.

Cell and atoms:
```
MgSc2Ge2Rh5
1.0
9.5757 0.0000 0.0000
0.0000 9.5757 0.0000
0.0000 0.0000 3.5375
Mg Sc Ge Rh
2 4 4 10
direct
0.0000 0.0000 0.0000
0.5000 0.5000 0.0000
0.1711 0.3289 0.0000
0.3289 0.8289 0.0000
0.6711 0.1711 0.0000
0.8289 0.6711 0.0000
0.1286 0.6286 0.0000
0.3714 0.1286 0.0000
0.6286 0.8714 0.0000
0.8714 0.3714 0.0000
0.0000 0.5000 0.5000
0.0691 0.7934 0.5000
0.2066 0.0691 0.5000
0.2934 0.5691 0.5000
0.4309 0.2934 0.5000
0.5000 0.0000 0.5000
0.5691 0.7066 0.5000
0.7066 0.4309 0.5000
0.7934 0.9309 0.5000
0.9309 0.2066 0.5000
```

Main lines, sorted by position (2θ = 5–70°):
20.7°, rel. 42; 38.8°, rel. 42; 39.2°, rel. 100; 42.6°, rel. 57; 45.8°, rel. 24; 51.7°, rel. 24



10.
# Mg2TiGeRu
Theoretical powder diffractogram, λ = 1.5418 Å (Cu Kα). Input: a cell relaxed with GGA-PBE.
Lines closer than 0.1° are merged.

Cell and atoms:
```
Mg2TiGeRu
1.0
5.4177 0.0000 0.0000
0.0000 5.4177 0.0000
0.0000 0.0000 4.3235
Mg Ti Ge Ru
2 1 1 1
direct
0.0000 0.5000 0.0000
0.5000 0.0000 0.0000
0.0000 0.0000 0.0000
0.5000 0.5000 0.5000
0.0000 0.0000 0.5000
```

Main lines, sorted by position (2θ = 5–70°):
16.4°, rel. 45; 23.2°, rel. 98; 31.2°, rel. 100; 33.1°, rel. 99; 47.5°, rel. 35; 54.3°, rel. 46



11.
# Mg4Ge2Sb
Theoretical powder diffractogram, λ = 1.5418 Å (Cu Kα). Input: a cell relaxed with GGA-PBE.
Lines closer than 0.1° are merged.

Cell and atoms:
```
Mg4Ge2Sb
1.0
-2.7675 2.7675 6.6533
2.7675 -2.7675 6.6533
2.7675 2.7675 -6.6533
Mg Ge Sb
4 2 1
direct
0.0000 0.5000 0.5000
0.2099 0.2099 0.0000
0.5000 0.0000 0.5000
0.7901 0.7901 0.0000
0.4078 0.4078 0.0000
0.5922 0.5922 0.0000
0.0000 0.0000 0.0000
```

Main lines, sorted by position (2θ = 5–70°):
13.3°, rel. 82; 22.7°, rel. 100; 32.3°, rel. 77; 35.1°, rel. 31; 37.5°, rel. 73; 50.3°, rel. 62



12.
# MgGeSb2Te
Theoretical powder diffractogram, λ = 1.5418 Å (Cu Kα). Input: a cell relaxed with GGA-PBE.
Lines closer than 0.1° are merged.

Cell and atoms:
```
MgGeSb2Te
1.0
5.3055 0.0000 0.0000
0.0000 5.3055 0.0000
0.0000 0.0000 5.5211
Mg Ge Sb Te
1 1 2 1
direct
0.0000 0.0000 0.0000
0.5000 0.5000 0.5000
0.0000 0.5000 0.0000
0.5000 0.0000 0.0000
0.0000 0.0000 0.5000
```

Main lines, sorted by position (2θ = 5–70°):
28.8°, rel. 100; 32.4°, rel. 23; 33.8°, rel. 41; 47.5°, rel. 31; 57.4°, rel. 28; 59.6°, rel. 16